Diffraction record for Tl3S2Cl2. The X-ray powder pattern is simulated, not measured: it uses a DFT-relaxed cell (GGA-PBE, Alexandria) and Cu Ka.

Cell and atoms:
Cell lengths 7.1984, 7.1984, 7.7568 Å; angles 102.10, 102.10, 32.15 degrees
Atoms (fractional coordinates):
Tl (0.0000, 0.0000, 0.0000)
Tl (0.2233, 0.2233, 0.7534)
Tl (0.7767, 0.7767, 0.2466)
S (0.3959, 0.3959, 0.1023)
S (0.6041, 0.6041, 0.8977)
Cl (0.1425, 0.1425, 0.3504)
Cl (0.8575, 0.8575, 0.6496)

Main lines, sorted by position (2θ = 10–90°):
- 11.69°, I = 50.6
- 19.43°, I = 36.4
- 24.32°, I = 39.0
- 26.44°, I = 49.4
- 26.77°, I = 63.2
- 29.47°, I = 64.4
- 30.57°, I = 100.0
- 35.52°, I = 35.9
- 41.65°, I = 47.9
- 44.27°, I = 31.8